Sr3UTe4O14: simulated PXRD pattern (Cu Kα X-rays), based on a DFT-relaxed cell (GGA-PBE, the Materials Project).
Kinematic intensities with the Lorentz-polarization factor, no thermal factor.

Structure:
abc: 10.895 10.895 13.244
angles: 93.64 93.64 30.53
Fractional coordinates of all 44 atoms:
Sr (0.206, 0.672, 0.442)
Sr (0.221, 0.779, 0.750)
Sr (0.328, 0.794, 0.058)
Sr (0.672, 0.206, 0.942)
Sr (0.779, 0.221, 0.250)
Sr (0.794, 0.328, 0.558)
U (0.000, 0.500, 0.500)
U (0.500, 0.000, 0.000)
Te (0.038, 0.613, 0.836)
Te (0.124, 0.674, 0.127)
Te (0.326, 0.876, 0.373)
Te (0.387, 0.962, 0.664)
Te (0.613, 0.038, 0.336)
Te (0.674, 0.124, 0.627)
Te (0.876, 0.326, 0.873)
Te (0.962, 0.387, 0.164)
O (0.034, 0.046, 0.914)
O (0.042, 0.777, 0.265)
O (0.046, 0.034, 0.414)
O (0.147, 0.196, 0.559)
O (0.154, 0.462, 0.604)
O (0.196, 0.147, 0.059)
O (0.223, 0.958, 0.235)
O (0.234, 0.329, 0.904)
O (0.240, 0.575, 0.865)
O (0.329, 0.234, 0.404)
O (0.425, 0.760, 0.635)
O (0.436, 0.477, 0.116)
O (0.462, 0.154, 0.104)
O (0.477, 0.436, 0.616)
O (0.523, 0.564, 0.384)
O (0.538, 0.846, 0.896)
O (0.564, 0.523, 0.884)
O (0.575, 0.240, 0.365)
O (0.671, 0.766, 0.596)
O (0.760, 0.425, 0.135)
O (0.766, 0.671, 0.096)
O (0.777, 0.042, 0.765)
O (0.804, 0.853, 0.941)
O (0.846, 0.538, 0.396)
O (0.853, 0.804, 0.441)
O (0.954, 0.966, 0.586)
O (0.958, 0.223, 0.735)
O (0.966, 0.954, 0.086)

Largest 10 diffraction maxima, by angle, 2θ = 10–90°:
20.9 deg, 4.259 Å, I 27; 22.3 deg, 3.982 Å, I 22; 26.1 deg, 3.418 Å, I 100; 26.8 deg, 3.323 Å, I 93; 29.7 deg, 3.009 Å, I 20; 31.0 deg, 2.882 Å, I 26; 31.2 deg, 2.869 Å, I 28; 43.6 deg, 2.077 Å, I 21; 44.6 deg, 2.033 Å, I 35; 51.8 deg, 1.764 Å, I 15

---

Sr4Ti3O10: simulated PXRD pattern (Cu Kα X-rays), based on a DFT-relaxed cell (GGA-PBE, the Materials Project).
Kinematic intensities with the Lorentz-polarization factor, no thermal factor.

Structure:
abc: 14.470 14.470 14.470
angles: 164.34 164.34 22.22
Fractional coordinates of all 17 atoms:
Sr (0.068, 0.068, 0.000)
Sr (0.202, 0.202, 0.000)
Sr (0.798, 0.798, 0.000)
Sr (0.932, 0.932, 0.000)
Ti (0.360, 0.360, 0.000)
Ti (0.500, 0.500, 0.000)
Ti (0.640, 0.640, 0.000)
O (0.000, 0.500, 0.500)
O (0.139, 0.639, 0.500)
O (0.291, 0.291, 0.000)
O (0.361, 0.861, 0.500)
O (0.431, 0.431, 0.000)
O (0.500, 0.000, 0.500)
O (0.569, 0.569, 0.000)
O (0.639, 0.139, 0.500)
O (0.709, 0.709, 0.000)
O (0.861, 0.361, 0.500)

Largest 10 diffraction maxima, by angle, 2θ = 10–90°:
31.6 deg, 2.827 Å, I 100; 32.1 deg, 2.788 Å, I 63; 41.2 deg, 2.193 Å, I 28; 44.7 deg, 2.028 Å, I 17; 46.0 deg, 1.972 Å, I 44; 56.1 deg, 1.640 Å, I 15; 56.9 deg, 1.617 Å, I 38; 66.1 deg, 1.414 Å, I 19; 67.1 deg, 1.394 Å, I 13; 76.4 deg, 1.247 Å, I 10